Record 1
Diffraction record for KPrMgBiO6. The powder XRD pattern is theoretical, not measured: it uses DFT lattice parameters and positions (GGA-PBE) and Cu Kα X-rays.
Intensities are scaled so that the largest is 100.

The 6 most intense peaks (2θ = 10–90°), in order of rising 2θ:
18.66 deg, 4.754 Å, rel. 62
30.71 deg, 2.911 Å, rel. 100
36.18 deg, 2.483 Å, rel. 39
43.98 deg, 2.059 Å, rel. 33
54.60 deg, 1.681 Å, rel. 41
88.94 deg, 1.100 Å, rel. 22

Cell and atoms:
```
10
Lattice="0.0000 4.1175 4.1175 4.1175 0.0000 4.1175 4.1175 4.1175 0.0000" Properties=species:S:1:pos:R:3 pbc="T T T"
K 0.0000 0.0000 0.0000
Pr 4.1175 4.1175 4.1175
Mg 6.1762 6.1762 6.1762
Bi 2.0587 2.0587 2.0587
O 6.1762 6.1762 4.1483
O 6.1762 4.1483 6.1762
O 8.2040 6.1762 6.1762
O 4.1483 6.1762 6.1762
O 6.1762 8.2040 6.1762
O 6.1762 6.1762 8.2040
```

---

Record 2
Diffraction record for K2MnBi2. The powder XRD pattern is theoretical, not measured: it uses DFT lattice parameters and positions (GGA-PBE) and Cu Kα X-rays.
Intensities are scaled so that the largest is 100.

The 6 most intense peaks (2θ = 10–90°), in order of rising 2θ:
13.43 deg, 6.595 Å, rel. 29
17.93 deg, 4.947 Å, rel. 34
24.98 deg, 3.564 Å, rel. 100
25.37 deg, 3.510 Å, rel. 43
31.65 deg, 2.827 Å, rel. 24
40.74 deg, 2.215 Å, rel. 24

Cell and atoms:
```
5
Lattice="3.5642 0.0000 0.0000 -0.0457 3.5644 0.0000 -0.2466 -0.0250 19.7862" Properties=species:S:1:pos:R:3 pbc="T T T"
K 0.0000 0.0000 0.0000
K -0.0934 -0.0099 7.9010
Mn 3.3405 3.5413 13.8459
Bi -0.2510 3.5424 16.5170
Bi -0.1813 3.5502 11.1737
```

---

Record 3
Diffraction record for KNaBi4O12. The powder XRD pattern is theoretical, not measured: it uses DFT lattice parameters and positions (GGA-PBE) and Cu Kα X-rays.
Intensities are scaled so that the largest is 100.

The 6 most intense peaks (2θ = 10–90°), in order of rising 2θ:
21.08 deg, 4.215 Å, rel. 100
21.29 deg, 4.174 Å, rel. 97
21.60 deg, 4.115 Å, rel. 90
30.13 deg, 2.966 Å, rel. 80
30.36 deg, 2.944 Å, rel. 86
30.51 deg, 2.930 Å, rel. 86

Cell and atoms:
```
18
Lattice="8.4300 0.0000 0.0000 0.0000 4.1148 4.1741 0.0000 -4.1148 4.1741" Properties=species:S:1:pos:R:3 pbc="T T T"
K 0.0000 0.0000 0.0000
Na 4.2150 0.0000 3.8877
Bi 2.1301 -2.0427 6.1048
Bi 2.1301 2.0427 6.1048
Bi 6.2999 -2.0427 6.1048
Bi 6.2999 2.0427 6.1048
O 0.0000 -1.6597 6.0739
O 0.0000 1.6597 6.0739
O 1.7643 0.0000 2.3969
O 2.1618 -2.5334 4.0201
O 2.1618 2.5334 4.0201
O 2.5846 0.0000 5.6324
O 4.2150 -1.5895 2.1490
O 4.2150 1.5895 2.1490
O 5.8453 0.0000 5.6324
O 6.2681 -2.5334 4.0201
O 6.2681 2.5334 4.0201
O 6.6656 0.0000 2.3969
```

---

Record 4
Diffraction record for KNaBi2O6. The powder XRD pattern is theoretical, not measured: it uses DFT lattice parameters and positions (GGA-PBE) and Cu Kα X-rays.
Intensities are scaled so that the largest is 100.

The 6 most intense peaks (2θ = 10–90°), in order of rising 2θ:
21.18 deg, 4.195 Å, rel. 98
30.12 deg, 2.967 Å, rel. 100
43.13 deg, 2.098 Å, rel. 33
48.48 deg, 1.878 Å, rel. 25
53.45 deg, 1.714 Å, rel. 26
53.56 deg, 1.711 Å, rel. 29

Cell and atoms:
```
20
Lattice="8.3819 0.0000 0.0000 0.0000 5.9464 0.0000 0.0000 0.0000 5.9253" Properties=species:S:1:pos:R:3 pbc="T T T"
K 0.0000 1.3079 0.0000
K 4.1910 4.6386 2.9626
Na 0.0000 4.1965 3.0558
Na 4.1910 1.7500 0.0931
Bi 2.0910 4.4698 0.0350
Bi 2.1000 1.4766 2.9976
Bi 6.2819 1.4766 2.9976
Bi 6.2910 4.4698 0.0350
O 0.0000 1.6990 2.5834
O 0.0000 4.5087 0.6326
O 1.6845 5.6477 4.1619
O 1.7503 2.7826 4.6831
O 2.4407 3.1638 1.7204
O 2.5065 0.2987 1.1993
O 4.1910 1.4377 3.5953
O 4.1910 4.2474 5.5460
O 5.8754 0.2987 1.1993
O 5.9413 3.1638 1.7204
O 6.6316 2.7826 4.6831
O 6.6975 5.6477 4.1619
```

---

Record 5
Diffraction record for KNaBi2O6. The powder XRD pattern is theoretical, not measured: it uses DFT lattice parameters and positions (GGA-PBE) and Cu Kα X-rays.
Intensities are scaled so that the largest is 100.

The 6 most intense peaks (2θ = 10–90°), in order of rising 2θ:
20.86 deg, 4.258 Å, rel. 86
29.67 deg, 3.011 Å, rel. 100
42.46 deg, 2.129 Å, rel. 32
47.76 deg, 1.904 Å, rel. 41
52.65 deg, 1.738 Å, rel. 42
61.60 deg, 1.506 Å, rel. 20

Cell and atoms:
```
10
Lattice="4.2551 0.0000 0.0000 0.0000 4.2551 0.0000 0.0000 0.0000 8.5291" Properties=species:S:1:pos:R:3 pbc="T T T"
K 0.0000 0.0000 0.0000
Na 0.0000 0.0000 4.2645
Bi 2.1276 2.1276 2.1382
Bi 2.1276 2.1276 6.3908
O 0.0000 2.1276 2.1405
O 0.0000 2.1276 6.3885
O 2.1276 0.0000 2.1405
O 2.1276 0.0000 6.3885
O 2.1276 2.1276 0.0000
O 2.1276 2.1276 4.2645
```

---

Record 6
Diffraction record for KNaBi2O6. The powder XRD pattern is theoretical, not measured: it uses DFT lattice parameters and positions (GGA-PBE) and Cu Kα X-rays.
Intensities are scaled so that the largest is 100.

The 6 most intense peaks (2θ = 10–90°), in order of rising 2θ:
20.71 deg, 4.289 Å, rel. 84
21.27 deg, 4.177 Å, rel. 74
21.46 deg, 4.141 Å, rel. 72
29.86 deg, 2.992 Å, rel. 90
30.00 deg, 2.979 Å, rel. 88
30.39 deg, 2.941 Å, rel. 100

Cell and atoms:
```
10
Lattice="4.1410 -4.1773 0.0000 4.1410 4.1773 0.0000 0.0000 0.0000 4.2889" Properties=species:S:1:pos:R:3 pbc="T T T"
K 0.0000 0.0000 0.0000
Na 4.1410 0.0000 0.0000
Bi 2.0705 2.0886 2.1444
Bi 2.0705 -2.0886 2.1444
O 2.0705 2.0886 0.0000
O 4.1410 2.6205 2.1444
O 2.6639 0.0000 2.1444
O 2.0705 -2.0886 0.0000
O 5.6181 0.0000 2.1444
O 4.1410 -2.6205 2.1444
```

---

Record 7
Diffraction record for KNaTi4Bi2O12. The powder XRD pattern is theoretical, not measured: it uses DFT lattice parameters and positions (GGA-PBE) and Cu Kα X-rays.
Intensities are scaled so that the largest is 100.

The 6 most intense peaks (2θ = 10–90°), in order of rising 2θ:
19.22 deg, 4.619 Å, rel. 100
31.15 deg, 2.871 Å, rel. 91
32.57 deg, 2.749 Å, rel. 41
38.09 deg, 2.363 Å, rel. 36
46.72 deg, 1.944 Å, rel. 29
57.23 deg, 1.610 Å, rel. 33

Cell and atoms:
```
20
Lattice="7.7740 0.0000 0.0000 0.0000 3.8896 4.2566 0.0000 -3.8896 4.2566" Properties=species:S:1:pos:R:3 pbc="T T T"
K 0.0000 0.0000 0.0000
Na 3.8870 0.0000 4.1078
Ti 1.9636 -1.9448 6.3222
Ti 1.9636 1.9448 6.3222
Ti 5.8104 -1.9448 6.3222
Ti 5.8104 1.9448 6.3222
Bi 0.0000 0.0000 3.7719
Bi 3.8870 0.0000 8.0534
O 0.0000 -1.8532 2.4397
O 0.0000 1.8532 2.4397
O 1.8928 0.0000 2.4766
O 1.9837 -1.9373 4.5697
O 1.9837 1.9373 4.5697
O 2.0428 0.0000 6.7013
O 3.8870 -1.9860 2.4893
O 3.8870 1.9860 2.4893
O 5.7313 0.0000 6.7013
O 5.7903 -1.9373 4.5697
O 5.7903 1.9373 4.5697
O 5.8812 0.0000 2.4766
```

---

Record 8
Diffraction record for KNaTi4Bi2O12. The powder XRD pattern is theoretical, not measured: it uses DFT lattice parameters and positions (GGA-PBE) and Cu Kα X-rays.
Intensities are scaled so that the largest is 100.

The 6 most intense peaks (2θ = 10–90°), in order of rising 2θ:
19.02 deg, 4.667 Å, rel. 46
19.44 deg, 4.567 Å, rel. 100
31.57 deg, 2.834 Å, rel. 91
32.09 deg, 2.789 Å, rel. 94
37.57 deg, 2.394 Å, rel. 48
45.63 deg, 1.988 Å, rel. 54

Cell and atoms:
```
20
Lattice="4.9380 -2.7896 0.0000 4.9380 2.7896 0.0000 -3.1591 0.0000 9.1299" Properties=species:S:1:pos:R:3 pbc="T T T"
K 0.0000 0.0000 0.0000
Na 3.3945 0.0000 4.5807
Ti 0.1531 0.0000 3.4713
Ti 3.2698 0.0000 1.1327
Ti 3.5148 0.0000 8.0197
Ti 6.6213 0.0000 5.6848
Bi 0.5258 0.0000 6.9771
Bi 7.0396 0.0000 2.4429
O 3.8754 1.4355 2.2404
O 2.3059 1.3373 6.7655
O 1.5405 0.0000 2.2505
O 1.5361 0.0000 8.9857
O 5.6609 1.3888 4.5180
O 4.1070 1.3917 9.0812
O 2.3059 -1.3373 6.7655
O 3.8754 -1.4355 2.2404
O 4.8785 0.0000 6.7799
O 8.0536 0.0000 4.4273
O 5.6609 -1.3888 4.5180
O 4.1070 -1.3917 9.0812
```

---

Question: What is the formula in the seventh record?
Answer: KNaTi4Bi2O12